(1)
This entry pairs a crystal structure of LaCoN3 with its calculated XRD peak list. Radiation: Cu Kα. Structure: DFT lattice parameters and positions (PBE).

Largest 6 diffraction maxima, by angle, 2θ = 5–70°:
d [Å]	I/Imax	hkl
3.474	94.6	0 1 -1
3.056	88.2	0 0 2
2.907	77.0	1 1 2
2.784	100.0	1 -1 0
2.761	91.9	1 2 1
2.035	74.6	1 2 -1

```
data_LaCoN3
_symmetry_space_group_name_H-M 'P 1'
_symmetry_Int_Tables_number 1
_symmetry_space_group_name_Hall 'P 1'
_cell_length_a 4.071
_cell_length_b 6.025
_cell_length_c 6.742
_cell_angle_alpha 66.50
_cell_angle_beta 74.80
_cell_angle_gamma 70.84
loop_
_atom_site_label
_atom_site_type_symbol
_atom_site_fract_x
_atom_site_fract_y
_atom_site_fract_z
_atom_site_occupancy
La1 La 0.000 0.000 0.000 1
La2 La 0.458 0.495 0.486 1
Co1 Co 0.386 0.063 0.368 1
Co2 Co 0.869 0.908 0.601 1
N1 N 0.055 0.154 0.580 1
N2 N 0.371 0.328 0.906 1
N3 N 0.376 0.259 0.103 1
N4 N 0.630 0.674 0.059 1
N5 N 0.694 0.754 0.861 1
N6 N 0.817 0.796 0.388 1
```

=====

(2)
This entry pairs a crystal structure of PmTh2Pt9 with its calculated XRD peak list. Radiation: Cu Kα. Structure: DFT lattice parameters and positions (PBE).

Largest 4 diffraction maxima, by angle, 2θ = 5–70°:
d [Å]	I/Imax	hkl
12.637	0.9	0 0 1
2.435	100.0	1 1 3
2.109	49.7	2 0 0
1.491	33.4	2 2 0

```
data_PmTh2Pt9
_symmetry_space_group_name_H-M 'P 1'
_symmetry_Int_Tables_number 1
_symmetry_space_group_name_Hall 'P 1'
_cell_length_a 4.220
_cell_length_b 4.220
_cell_length_c 12.637
_cell_angle_alpha 90.00
_cell_angle_beta 90.00
_cell_angle_gamma 90.00
loop_
_atom_site_label
_atom_site_type_symbol
_atom_site_fract_x
_atom_site_fract_y
_atom_site_fract_z
_atom_site_occupancy
Pm1 Pm 0.000 0.000 0.000 1
Th1 Th 0.000 0.000 0.330 1
Th2 Th 0.000 0.000 0.670 1
Pt1 Pt 0.000 0.500 0.167 1
Pt2 Pt 0.000 0.500 0.500 1
Pt3 Pt 0.000 0.500 0.833 1
Pt4 Pt 0.500 0.000 0.167 1
Pt5 Pt 0.500 0.000 0.500 1
Pt6 Pt 0.500 0.000 0.833 1
Pt7 Pt 0.500 0.500 0.000 1
Pt8 Pt 0.500 0.500 0.334 1
Pt9 Pt 0.500 0.500 0.666 1
```